Entry 1:
Diffraction record for Sm2Si3Ir. The powder XRD pattern is theoretical, not measured: it uses a PBE-relaxed structure and Cu Kα, 1.54184 Å.
No peak broadening, texture or thermal motion is included.

Top 12 peaks for 2θ from 15° to 90°, by angle:
(hkl), 2theta, I/Imax
1 1 1, 16.37, 12
1 1 3, 24.17, 19
2 0 2, 25.03, 14
0 2 4, 33.10, 100
0 4 0, 43.41, 14
4 0 0, 44.01, 15
2 0 6, 44.13, 26
4 2 4, 56.18, 15
0 2 8, 56.30, 7
4 4 0, 63.59, 26
0 6 4, 73.11, 10
2 2 10, 74.14, 13

Crystal structure
Lattice parameters (Å, degrees): 8.2290 8.3382 14.2082 90.00 90.00 90.00
Space group Fmmm (No. 69)
Asymmetric unit:
Sm  0.0000  0.2485  0.0000 x8
Sm  0.2500  0.2500  0.2500 x8
Si  0.0000  0.0000  0.3329 x8
Si  0.2501  0.0000  0.0838 x16
Ir  0.0000  0.0000  0.1663 x8


Entry 2:
Diffraction record for Sm2Si3Ir3. The powder XRD pattern is theoretical, not measured: it uses a PBE-relaxed structure and Cu Kα, 1.54184 Å.
No peak broadening, texture or thermal motion is included.

Top 12 peaks for 2θ from 15° to 90°, by angle:
(hkl), 2theta, I/Imax
0 0 5, 21.91, 22
1 0 0, 31.63, 100
1 0 3, 34.36, 21
0 0 8, 35.40, 28
1 0 5, 38.81, 21
1 1 0, 45.33, 37
1 0 8, 48.19, 48
1 1 8, 58.79, 26
2 0 0, 66.05, 12
2 1 0, 75.08, 17
2 0 8, 77.23, 12
2 1 8, 85.84, 19

Crystal structure
Lattice parameters (Å, degrees): 2.8290 2.8290 20.2873 90.00 90.00 90.00
Space group P4/mmm (No. 123)
Asymmetric unit:
Sm  0.0000  0.0000  0.2439 x2
Si  0.0000  0.0000  0.0000 x1
Si  0.0000  0.0000  0.3864 x2
Ir  0.0000  0.0000  0.1105 x2
Ir  0.0000  0.0000  0.5000 x1


Entry 3:
Diffraction record for TbSmSiIr. The powder XRD pattern is theoretical, not measured: it uses a PBE-relaxed structure and Cu Kα, 1.54184 Å.
No peak broadening, texture or thermal motion is included.

Top 12 peaks for 2θ from 15° to 90°, by angle:
(hkl), 2theta, I/Imax
0 0 2, 16.60, 21
1 1 1, 31.81, 100
0 1 3, 32.89, 40
0 0 4, 33.56, 23
1 1 3, 39.96, 50
1 0 4, 40.53, 21
0 2 0, 42.77, 23
2 0 0, 45.02, 20
2 1 3, 56.87, 17
1 2 4, 60.39, 13
2 2 0, 63.84, 14
2 1 7, 82.54, 13

Crystal structure
Lattice parameters (Å, degrees): 4.0269 4.2280 10.6820 90.00 90.00 90.00
Space group Amm2 (No. 38)
Asymmetric unit:
Tb  0.0000  0.0000  0.0000 x2
Sm  0.5000  0.0000  0.7172 x2
Si  0.0000  0.0000  0.2972 x2
Ir  0.5000  0.0000  0.4360 x2


Entry 4:
Diffraction record for Sm2Th2SiIr4. The powder XRD pattern is theoretical, not measured: it uses a PBE-relaxed structure and Cu Kα, 1.54184 Å.
No peak broadening, texture or thermal motion is included.

Top 12 peaks for 2θ from 15° to 90°, by angle:
(hkl), 2theta, I/Imax
1 0 1, 16.61, 9
1 0 3, 31.44, 10
2 0 2, 33.57, 100
0 0 4, 37.83, 12
2 2 0, 39.52, 41
2 1 3, 42.36, 13
3 0 3, 51.34, 5
2 2 4, 55.86, 16
4 0 0, 57.12, 14
4 2 2, 67.91, 26
4 0 4, 70.57, 8
2 2 6, 72.58, 7

Crystal structure
Lattice parameters (Å, degrees): 6.4500 6.4500 9.5128 90.00 90.00 90.00
Space group I4/mmm (No. 139)
Asymmetric unit:
Sm  0.0000  0.5000  0.2500 x4
Th  0.0000  0.0000  0.1905 x4
Si  0.0000  0.0000  0.5000 x2
Ir  0.2415  0.2415  0.0000 x8


Entry 5:
Diffraction record for TbSi2SnIr5. The powder XRD pattern is theoretical, not measured: it uses a PBE-relaxed structure and Cu Kα, 1.54184 Å.
No peak broadening, texture or thermal motion is included.

Top 12 peaks for 2θ from 15° to 90°, by angle:
(hkl), 2theta, I/Imax
0 0 3, 24.68, 85
1 1 1, 32.72, 68
1 1 2, 35.82, 100
1 1 3, 40.52, 34
2 0 0, 45.34, 63
1 1 4, 46.44, 49
0 0 6, 50.60, 20
2 0 3, 52.29, 45
1 1 5, 53.29, 25
2 2 0, 66.05, 21
2 0 6, 70.26, 31
3 1 2, 77.48, 22

Crystal structure
Lattice parameters (Å, degrees): 4.0007 4.0007 10.8238 90.00 90.00 90.00
Space group P4/mmm (No. 123)
Asymmetric unit:
Tb  0.0000  0.0000  0.0000 x1
Si  0.5000  0.5000  0.2152 x2
Sn  0.0000  0.0000  0.5000 x1
Ir  0.0000  0.5000  0.3299 x4
Ir  0.5000  0.5000  0.0000 x1


Entry 6:
Diffraction record for Sr3SiIr2. The powder XRD pattern is theoretical, not measured: it uses a PBE-relaxed structure and Cu Kα, 1.54184 Å.
No peak broadening, texture or thermal motion is included.

Top 12 peaks for 2θ from 15° to 90°, by angle:
(hkl), 2theta, I/Imax
1 1 -1, 16.75, 100
0 0 2, 18.60, 38
1 1 1, 21.35, 67
1 2 -1, 21.44, 48
0 3 1, 24.95, 41
1 3 0, 27.61, 57
1 1 2, 28.45, 72
2 0 0, 30.03, 67
1 2 -3, 31.51, 37
1 3 -3, 36.10, 39
1 1 3, 36.79, 88
2 3 -1, 37.03, 74

Crystal structure
Lattice parameters (Å, degrees): 6.2665 11.5429 10.0472 90.00 108.25 90.00
Space group P2_1/c (No. 14)
Asymmetric unit:
Sr  0.1727  0.2251  0.3389 x4
Sr  0.2210  0.5940  0.9689 x4
Sr  0.2890  0.5437  0.5912 x4
Si  0.4034  0.6976  0.3221 x4
Ir  0.2214  0.5254  0.2645 x4
Ir  0.3685  0.1439  0.6522 x4


Entry 7:
Diffraction record for SrSiIr4. The powder XRD pattern is theoretical, not measured: it uses a PBE-relaxed structure and Cu Kα, 1.54184 Å.
No peak broadening, texture or thermal motion is included.

Top 12 peaks for 2θ from 15° to 90°, by angle:
(hkl), 2theta, I/Imax
1 1 1, 20.38, 73
2 0 0, 23.57, 2
2 2 0, 33.58, 5
3 1 1, 39.60, 100
2 2 2, 41.44, 79
4 0 0, 48.22, 28
3 3 1, 52.87, 19
5 1 1, 64.10, 33
4 4 0, 70.58, 33
5 3 1, 74.35, 14
5 3 3, 84.09, 12
6 2 2, 85.29, 31

Crystal structure
Lattice parameters (Å, degrees): 7.5483 7.5483 7.5483 90.00 90.00 90.00
Space group F-43m (No. 216)
Asymmetric unit:
Sr  0.0000  0.0000  0.0000 x4
Si  0.2500  0.2500  0.2500 x4
Ir  0.1243  0.1243  0.6243 x16


Entry 8:
Diffraction record for SrSi12Ir4. The powder XRD pattern is theoretical, not measured: it uses a PBE-relaxed structure and Cu Kα, 1.54184 Å.
No peak broadening, texture or thermal motion is included.

Top 12 peaks for 2θ from 15° to 90°, by angle:
(hkl), 2theta, I/Imax
2 0 0, 21.17, 72
2 2 0, 30.11, 100
3 0 1, 33.77, 13
2 2 2, 37.10, 26
4 0 0, 43.10, 18
4 0 2, 48.50, 52
4 2 2, 53.48, 54
4 4 0, 62.60, 11
4 4 2, 66.87, 11
6 2 0, 71.02, 22
6 2 2, 75.06, 12
6 4 2, 86.82, 21

Crystal structure
Lattice parameters (Å, degrees): 8.3944 8.3944 8.3944 90.00 90.00 90.00
Space group Im-3 (No. 204)
Asymmetric unit:
Sr  0.0000  0.0000  0.0000 x2
Si  0.0000  0.3570  0.1524 x24
Ir  0.2500  0.2500  0.2500 x8


Entry 9:
Diffraction record for SrSi4Ir2. The powder XRD pattern is theoretical, not measured: it uses a PBE-relaxed structure and Cu Kα, 1.54184 Å.
No peak broadening, texture or thermal motion is included.

Top 12 peaks for 2θ from 15° to 90°, by angle:
(hkl), 2theta, I/Imax
4 0 0, 20.85, 30
0 1 1, 25.22, 31
1 1 1, 25.76, 24
2 1 1, 27.34, 32
2 0 2, 29.64, 92
4 1 0, 29.79, 76
2 1 2, 36.64, 100
7 0 1, 39.57, 31
0 2 0, 42.84, 43
6 1 2, 47.82, 75
2 2 2, 52.96, 38
12 0 0, 65.80, 36

Crystal structure
Lattice parameters (Å, degrees): 17.0428 4.2217 6.4439 90.00 90.00 90.00
Space group Pnma (No. 62)
Asymmetric unit:
Sr  0.1412  0.2500  0.0047 x4
Si  0.0315  0.7500  0.1397 x4
Si  0.0677  0.2500  0.5376 x4
Si  0.1829  0.7500  0.6891 x4
Si  0.1936  0.7500  0.2866 x4
Ir  0.0332  0.7500  0.7405 x4
Ir  0.2115  0.2500  0.4887 x4


Entry 10:
Diffraction record for SrSiIr2. The powder XRD pattern is theoretical, not measured: it uses a PBE-relaxed structure and Cu Kα, 1.54184 Å.
No peak broadening, texture or thermal motion is included.

Top 12 peaks for 2θ from 15° to 90°, by angle:
(hkl), 2theta, I/Imax
0 0 3, 16.22, 100
1 0 1, 24.39, 57
0 1 2, 26.17, 25
0 0 6, 32.78, 32
0 1 5, 36.43, 82
1 1 0, 41.80, 82
1 1 3, 45.12, 46
1 1 6, 54.11, 47
2 0 5, 56.63, 23
1 0 10, 61.78, 16
1 2 5, 72.81, 22
3 0 0, 76.33, 14

Crystal structure
Lattice parameters (Å, degrees): 4.3218 4.3218 16.3940 90.00 90.00 120.00
Space group R-3m (No. 166, hexagonal axes)
Asymmetric unit:
Sr  0.0000  0.0000  0.0000 x3
Si  0.0000  0.0000  0.5000 x3
Ir  0.0000  0.0000  0.1875 x6


Entry 11:
Diffraction record for Ta2SiIr. The powder XRD pattern is theoretical, not measured: it uses a PBE-relaxed structure and Cu Kα, 1.54184 Å.
No peak broadening, texture or thermal motion is included.

Top 12 peaks for 2θ from 15° to 90°, by angle:
(hkl), 2theta, I/Imax
0 0 1, 21.02, 9
1 1 1, 39.35, 100
0 0 2, 42.80, 20
0 2 0, 43.50, 19
2 0 0, 50.66, 14
0 2 2, 62.67, 13
2 0 2, 68.43, 12
2 2 0, 68.95, 10
1 1 3, 76.07, 15
1 3 1, 77.06, 14
2 2 2, 84.67, 11
3 1 1, 87.65, 11

Crystal structure
Lattice parameters (Å, degrees): 3.6036 4.1605 4.2259 90.00 90.00 90.00
Space group Pmmm (No. 47)
Asymmetric unit:
Ta  0.0000  0.0000  0.0000 x1
Ta  0.5000  0.0000  0.5000 x1
Si  0.0000  0.5000  0.5000 x1
Ir  0.5000  0.5000  0.0000 x1


Entry 12:
Diffraction record for ThTaSi2Ir. The powder XRD pattern is theoretical, not measured: it uses a PBE-relaxed structure and Cu Kα, 1.54184 Å.
No peak broadening, texture or thermal motion is included.

Top 12 peaks for 2θ from 15° to 90°, by angle:
(hkl), 2theta, I/Imax
1 0 1, 22.98, 25
1 0 3, 32.99, 21
0 0 4, 33.25, 23
1 1 2, 34.83, 100
2 0 0, 43.66, 31
2 1 3, 55.79, 9
2 0 4, 55.96, 21
1 1 6, 60.43, 19
2 2 0, 63.45, 10
2 2 4, 73.55, 10
3 1 2, 74.47, 23
2 0 8, 86.06, 9

Crystal structure
Lattice parameters (Å, degrees): 4.1465 4.1465 10.7788 90.00 90.00 90.00
Space group I-4m2 (No. 119)
Asymmetric unit:
Th  0.0000  0.0000  0.0000 x2
Ta  0.0000  0.5000  0.7500 x2
Si  0.0000  0.0000  0.3872 x4
Ir  0.0000  0.5000  0.2500 x2


Entry 13:
Diffraction record for TbSi2Ir2. The powder XRD pattern is theoretical, not measured: it uses a PBE-relaxed structure and Cu Kα, 1.54184 Å.
No peak broadening, texture or thermal motion is included.

Top 12 peaks for 2θ from 15° to 90°, by angle:
(hkl), 2theta, I/Imax
0 0 2, 17.75, 19
1 0 1, 23.53, 11
1 1 0, 30.96, 6
1 0 3, 34.75, 12
1 1 2, 35.92, 100
2 0 0, 44.35, 28
1 1 4, 48.14, 16
1 0 5, 50.84, 7
2 1 3, 57.53, 6
2 0 4, 58.35, 17
2 2 0, 64.56, 24
3 1 2, 76.11, 27

Crystal structure
Lattice parameters (Å, degrees): 4.0854 4.0854 9.9927 90.00 90.00 90.00
Space group I4/mmm (No. 139)
Asymmetric unit:
Tb  0.0000  0.0000  0.0000 x2
Si  0.0000  0.0000  0.3786 x4
Ir  0.0000  0.5000  0.2500 x4


Entry 14:
Diffraction record for Tb2Si4Ir5. The powder XRD pattern is theoretical, not measured: it uses a PBE-relaxed structure and Cu Kα, 1.54184 Å.
No peak broadening, texture or thermal motion is included.

Top 12 peaks for 2θ from 15° to 90°, by angle:
(hkl), 2theta, I/Imax
0 0 4, 25.14, 24
1 1 3, 26.39, 43
0 2 4, 31.44, 74
2 2 0, 37.21, 100
0 4 0, 37.64, 78
2 0 4, 41.09, 51
2 2 4, 45.44, 35
0 4 4, 45.81, 35
0 0 8, 51.61, 25
2 4 4, 56.93, 26
2 2 8, 65.33, 39
2 6 0, 67.65, 22

Crystal structure
Lattice parameters (Å, degrees): 5.6012 9.5600 14.1678 90.00 90.00 90.00
Space group Fmmm (No. 69)
Asymmetric unit:
Tb  0.0000  0.0000  0.1259 x8
Si  0.0000  0.1545  0.3682 x16
Ir  0.0000  0.0000  0.5000 x4
Ir  0.2500  0.2500  0.0000 x8
Ir  0.2500  0.2500  0.2500 x8